This entry pairs a crystal structure of CaMn2AgSe4 with its theoretical X-ray powder pattern. Radiation: CuKα. Structure: a structure optimized by DFT (GGA-PBE).

Cell and atoms:
abc: 6.7545 6.7545 14.0505
angles: 90.00 90.00 146.45
Element x y z (fractional)
Ca  0.1481  0.8519  0.7500
Ca  0.8519  0.1481  0.2500
Mn  0.3772  0.6228  0.5682
Mn  0.3772  0.6228  0.9318
Mn  0.6228  0.3772  0.0682
Mn  0.6228  0.3772  0.4318
Ag  0.1444  0.8556  0.2500
Ag  0.8556  0.1444  0.7500
Se  0.0000  0.0000  0.0000
Se  0.0000  0.0000  0.5000
Se  0.2625  0.7375  0.1008
Se  0.2625  0.7375  0.3992
Se  0.4847  0.5153  0.7500
Se  0.5153  0.4847  0.2500
Se  0.7375  0.2625  0.6008
Se  0.7375  0.2625  0.8992

Principal peaks in the range 10° ≤ 2θ ≤ 90°, by angle:
2θ (°)	I_rel
15.08	35.9
28.93	35.0
33.51	100.0
36.52	33.5
46.37	34.2
46.59	25.4

---

This entry pairs a crystal structure of CaAg4Mo with its theoretical X-ray powder pattern. Radiation: CuKα. Structure: a structure optimized by DFT (GGA-PBE).

Cell and atoms:
abc: 5.5819 5.5819 5.5819
angles: 60.00 60.00 60.00
Element x y z (fractional)
Ca  0.0000  0.0000  0.0000
Ag  0.3753  0.3753  0.3753
Ag  0.3753  0.3753  0.8741
Ag  0.3753  0.8741  0.3753
Ag  0.8741  0.3753  0.3753
Mo  0.7500  0.7500  0.7500

Principal peaks in the range 10° ≤ 2θ ≤ 90°, by angle:
2θ (°)	I_rel
19.48	29.1
37.80	100.0
39.55	56.5
60.99	30.6
67.07	27.9
80.75	19.6

---

This entry pairs a crystal structure of Ca4AgN with its theoretical X-ray powder pattern. Radiation: CuKα. Structure: a structure optimized by DFT (GGA-PBE).

Cell and atoms:
abc: 9.8750 9.8750 6.9734
angles: 90.00 90.00 151.37
Element x y z (fractional)
Ca  0.0000  0.0000  0.0000
Ca  0.0000  0.0000  0.5000
Ca  0.1758  0.8242  0.5041
Ca  0.1758  0.8242  0.9959
Ca  0.4146  0.5854  0.2500
Ca  0.5854  0.4146  0.7500
Ca  0.8242  0.1758  0.0041
Ca  0.8242  0.1758  0.4959
Ag  0.4035  0.5965  0.7500
Ag  0.5965  0.4035  0.2500
N  0.0924  0.9076  0.7500
N  0.9076  0.0924  0.2500

Principal peaks in the range 10° ≤ 2θ ≤ 90°, by angle:
2θ (°)	I_rel
26.30	27.1
29.66	89.7
31.88	100.0
36.81	37.1
38.24	57.7
54.13	38.4

---

This entry pairs a crystal structure of Ca6Ag16N with its theoretical X-ray powder pattern. Radiation: CuKα. Structure: a structure optimized by DFT (GGA-PBE).

Cell and atoms:
abc: 8.5799 8.5799 8.5799
angles: 109.47 109.47 109.47
Element x y z (fractional)
Ca  0.0000  0.2555  0.2555
Ca  0.0000  0.7445  0.7445
Ca  0.2555  0.0000  0.2555
Ca  0.2555  0.2555  0.0000
Ca  0.7445  0.0000  0.7445
Ca  0.7445  0.7445  0.0000
Ag  0.0000  0.0000  0.5000
Ag  0.0000  0.3470  0.6530
Ag  0.0000  0.5000  0.0000
Ag  0.0000  0.6530  0.3470
Ag  0.3061  0.6530  0.6530
Ag  0.3470  0.0000  0.6530
Ag  0.3470  0.3470  0.6939
Ag  0.3470  0.6530  0.0000
Ag  0.3470  0.6939  0.3470
Ag  0.5000  0.0000  0.0000
Ag  0.5000  0.5000  0.5000
Ag  0.6530  0.0000  0.3470
Ag  0.6530  0.3061  0.6530
Ag  0.6530  0.3470  0.0000
Ag  0.6530  0.6530  0.3061
Ag  0.6939  0.3470  0.3470
N  0.0000  0.0000  0.0000

Principal peaks in the range 10° ≤ 2θ ≤ 90°, by angle:
2θ (°)	I_rel
12.64	39.2
21.98	19.2
33.85	29.3
38.55	100.0
40.73	33.2
44.82	20.7